The following is a theoretical PXRD pattern of SrHf2BeCd. It was derived from a PBE-relaxed structure, using Cu Kα, 1.54184 Å.
Intensities are scaled so that the largest is 1000.

Most intense lines, 10° ≤ 2θ ≤ 80°, in order of rising 2θ:
15.16°, I = 1000; 16.86°, I = 452; 28.45°, I = 726; 30.59°, I = 434; 34.10°, I = 651; 37.51°, I = 442; 46.46°, I = 546; 49.00°, I = 233; 57.64°, I = 206; 58.87°, I = 269

Cell and atoms:
```
SrHf2BeCd
1.0
5.2582 0.0000 0.0000
0.0000 5.2582 0.0000
0.0000 0.0000 5.8458
Sr Hf Be Cd
1 2 1 1
Cartesian
0.0000 0.0000 0.0000
0.0000 2.6291 2.9229
2.6291 0.0000 2.9229
2.6291 2.6291 0.0000
0.0000 0.0000 2.9229
```